[1]
Theoretical X-ray diffraction stick pattern
Compound: Pr3Co11B4
Radiation: Cu Kα
Structure: a cell relaxed with GGA-PBE
Neutral-atom scattering factors, no anomalous dispersion.

Atomic structure:
```
data_Pr3Co11B4
_space_group_name_H-M_alt 'P 6/m m m'
_space_group_IT_number 191
_space_group_name_Hall '-P 6 2'
_cell_length_a 5.1481
_cell_length_b 5.1481
_cell_length_c 9.7173
_cell_angle_alpha 90.00
_cell_angle_beta 90.00
_cell_angle_gamma 120.00
loop_
_atom_site_label
_atom_site_type_symbol
_atom_site_fract_x
_atom_site_fract_y
_atom_site_fract_z
_atom_site_occupancy
Pr1 Pr 0.0000 0.0000 0.0000 1
Pr2 Pr 0.0000 0.0000 0.3406 1
Co1 Co 0.0000 0.5000 0.2042 1
Co2 Co 0.0000 0.5000 0.5000 1
Co3 Co 0.3333 0.6667 0.0000 1
B1 B 0.3333 0.6667 0.3498 1
```

Principal peaks in the range 2θ = 5–70°, in order of falling intensity:
40.47°, intensity 100, (2 0 0)
34.22°, intensity 98, (1 0 3)
44.98°, intensity 95, (1 1 3)
62.09°, intensity 34, (2 1 3)
34.85°, intensity 29, (1 1 0)
69.60°, intensity 25, (3 0 3)
19.91°, intensity 17, (1 0 0)
68.44°, intensity 12, (1 1 6)
56.85°, intensity 9, (0 0 6)
42.37°, intensity 9, (1 0 4)

***

[2]
Theoretical X-ray diffraction stick pattern
Compound: Hf4TePbC2
Radiation: Cu Kα
Structure: a cell relaxed with GGA-PBE
Neutral-atom scattering factors, no anomalous dispersion.

Atomic structure:
```
data_Hf4TePbC2
_space_group_name_H-M_alt 'P -6 m 2'
_space_group_IT_number 187
_space_group_name_Hall 'P -6 2'
_cell_length_a 3.4497
_cell_length_b 3.4497
_cell_length_c 13.9176
_cell_angle_alpha 90.00
_cell_angle_beta 90.00
_cell_angle_gamma 120.00
loop_
_atom_site_label
_atom_site_type_symbol
_atom_site_fract_x
_atom_site_fract_y
_atom_site_fract_z
_atom_site_occupancy
Hf1 Hf 0.0000 0.0000 0.1544 1
Hf2 Hf 0.6667 0.3333 0.3233 1
Te1 Te 0.6667 0.3333 0.0000 1
Pb1 Pb 0.0000 0.0000 0.5000 1
C1 C 0.3333 0.6667 0.2400 1
```

Principal peaks in the range 2θ = 5–70°, in order of falling intensity:
35.75°, intensity 100, (1 0 3)
29.91°, intensity 26, (1 0 0)
53.10°, intensity 23, (1 1 0)
67.69°, intensity 19, (1 1 6)
65.66°, intensity 17, (2 0 3)
38.82°, intensity 16, (0 0 6)
49.77°, intensity 13, (1 0 6)
68.30°, intensity 12, (1 0 9)
61.70°, intensity 4, (1 0 8)
32.62°, intensity 3, (1 0 2)

***

[3]
Theoretical X-ray diffraction stick pattern
Compound: PrTmZr2Sb2
Radiation: Cu Kα
Structure: a cell relaxed with GGA-PBE
Neutral-atom scattering factors, no anomalous dispersion.

Atomic structure:
```
data_PrTmZr2Sb2
_space_group_name_H-M_alt 'I 4 m m'
_space_group_IT_number 107
_space_group_name_Hall 'I 4 -2'
_cell_length_a 4.319
_cell_length_b 4.319
_cell_length_c 16.834
_cell_angle_alpha 90.00
_cell_angle_beta 90.00
_cell_angle_gamma 90.00
loop_
_atom_site_label
_atom_site_type_symbol
_atom_site_fract_x
_atom_site_fract_y
_atom_site_fract_z
_atom_site_occupancy
Pr1 Pr 0.000 0.000 0.000 1
Tm1 Tm 0.000 0.000 0.353 1
Zr1 Zr 0.000 0.500 0.180 1
Sb1 Sb 0.000 0.000 0.550 1
Sb2 Sb 0.000 0.000 0.810 1
```

Principal peaks in the range 2θ = 5–70°, in order of falling intensity:
36.34°, intensity 100, (1 1 4)
31.15°, intensity 87, (1 1 2)
41.83°, intensity 69, (2 0 0)
33.75°, intensity 63, (1 0 5)
29.24°, intensity 45, (1 1 0)
31.90°, intensity 37, (0 0 6)
53.55°, intensity 34, (2 0 6)
54.79°, intensity 31, (2 1 5)
60.64°, intensity 23, (2 2 0)
53.38°, intensity 18, (1 0 9)

***

[4]
Theoretical X-ray diffraction stick pattern
Compound: Cu3Ag17
Radiation: Cu Kα
Structure: a cell relaxed with GGA-PBE
Neutral-atom scattering factors, no anomalous dispersion.

Atomic structure:
```
data_Cu3Ag17
_space_group_name_H-M_alt 'P 1'
_space_group_IT_number 1
_cell_length_a 6.456
_cell_length_b 7.648
_cell_length_c 7.649
_cell_angle_alpha 85.75
_cell_angle_beta 65.08
_cell_angle_gamma 89.99
loop_
_space_group_symop_operation_xyz
'x,y,z'
loop_
_atom_site_label
_atom_site_type_symbol
_atom_site_fract_x
_atom_site_fract_y
_atom_site_fract_z
_atom_site_occupancy
Cu1 Cu 0.000 0.000 0.000 1
Cu2 Cu 0.100 0.097 0.619 1
Cu3 Cu 0.430 0.953 0.713 1
Ag1 Ag 0.042 0.553 0.312 1
Ag2 Ag 0.143 0.657 0.908 1
Ag3 Ag 0.191 0.197 0.217 1
Ag4 Ag 0.244 0.761 0.510 1
Ag5 Ag 0.290 0.285 0.813 1
Ag6 Ag 0.339 0.856 0.100 1
Ag7 Ag 0.393 0.399 0.415 1
Ag8 Ag 0.493 0.498 0.010 1
Ag9 Ag 0.542 0.051 0.317 1
Ag10 Ag 0.589 0.606 0.613 1
Ag11 Ag 0.655 0.146 0.910 1
Ag12 Ag 0.696 0.707 0.205 1
Ag13 Ag 0.745 0.246 0.520 1
Ag14 Ag 0.794 0.809 0.806 1
Ag15 Ag 0.847 0.346 0.113 1
Ag16 Ag 0.890 0.906 0.412 1
Ag17 Ag 0.948 0.449 0.711 1
```

Principal peaks in the range 2θ = 5–70°, in order of falling intensity:
38.14°, intensity 100, (1 3 1)
44.37°, intensity 32, (3 1 1)
64.45°, intensity 19, (-3 1 2)
44.23°, intensity 16, (0 2 3)
64.55°, intensity 10, (2 4 -1)
34.66°, intensity 1, (1 -2 2)
27.47°, intensity 1, (1 2 1)